# Pm8SnSe6
Calculated powder X-ray diffraction pattern, Cu Ka. Input: a crystal structure in Alexandria, relaxed with PBE.
Intensities are scaled so that the largest is 100.

Main lines, sorted by position (2θ from 5° to 70°):
Position (°2θ), intensity, (hkl)
26.88, 42.6, 2 -1 1
28.59, 100.0, 3 0 0
33.11, 61.0, 3 -1 1
34.56, 27.7, 1 3 0
39.66, 48.5, 2 2 1
43.05, 16.3, 0 0 2
47.56, 26.9, 3 2 1
52.51, 13.8, 3 0 2
56.34, 11.3, 3 1 2
59.23, 13.7, 6 0 0

Crystal structure
```
data_Pm8SnSe6
_chemical_formula_sum 'Pm8 Sn1 Se6'
_cell_length_a 10.8054
_cell_length_b 10.8054
_cell_length_c 4.2023
_cell_angle_alpha 90.00
_cell_angle_beta 90.00
_cell_angle_gamma 120.00
_symmetry_space_group_name_H-M 'P -3'
_symmetry_Int_Tables_number 147
loop_
_symmetry_equiv_pos_as_xyz
'x,y,z'
'-x,-y,-z'
'-y,x-y,z'
'y,-x+y,-z'
'-x+y,-x,z'
'x-y,x,-z'
loop_
_atom_site_label
_atom_site_type_symbol
_atom_site_fract_x
_atom_site_fract_y
_atom_site_fract_z
Pm1 Pm 0.0346 0.3241 0.2469
Pm2 Pm 0.3333 0.6667 0.7513
Sn1 Sn 0.0000 0.0000 0.0000
Se1 Se 0.1319 0.6491 0.2499
```